1.
# TiPbS2
Calculated powder X-ray diffraction pattern, Cu Kα (weighted mean of Kα1 and Kα2). Input: a structure optimized by DFT (PBE).
No peak broadening, texture or thermal motion is included.

Principal peaks in the range 2θ from 15° to 90°, by angle:
4.278 Å, I = 43, (0 0 2)
2.971 Å, I = 44, (1 0 0)
2.852 Å, I = 17, (0 0 3)
2.806 Å, I = 100, (1 0 1)
2.440 Å, I = 47, (0 1 2)
2.057 Å, I = 52, (0 1 3)
1.736 Å, I = 17, (1 0 4)
1.715 Å, I = 22, (1 1 0)
1.592 Å, I = 17, (1 1 2)
1.483 Å, I = 15, (0 1 5)
1.470 Å, I = 14, (1 1 3)
1.463 Å, I = 14, (0 2 1)

Atomic structure:
Unit cell a=3.4304 b=3.4304 c=8.5557 alpha=90.00 beta=90.00 gamma=120.00
Space group P3m1 (No. 156)
Inequivalent atoms, fractional coordinates:
Ti (0.0000, 0.0000, 0.0000) x1
Pb (0.3333, 0.6667, 0.4983) x1
S (0.3333, 0.6667, 0.8314) x1
S (0.6667, 0.3333, 0.1690) x1


2.
# Ac3Sm13
Calculated powder X-ray diffraction pattern, Cu Kα (weighted mean of Kα1 and Kα2). Input: a structure optimized by DFT (PBE).
No peak broadening, texture or thermal motion is included.

Principal peaks in the range 2θ from 15° to 90°, by angle:
3.237 Å, I = 24, (0 0 4)
2.976 Å, I = 25, (0 4 0)
2.844 Å, I = 100, (2 2 2)
2.191 Å, I = 16, (0 4 4)
1.869 Å, I = 20, (4 0 0)
1.692 Å, I = 21, (2 6 2)
1.583 Å, I = 23, (4 4 0)
1.563 Å, I = 11, (4 2 4)
1.560 Å, I = 6, (0 2 8)
1.254 Å, I = 8, (0 6 8)
1.198 Å, I = 9, (4 2 8)
1.164 Å, I = 8, (4 8 0)

Atomic structure:
Unit cell a=7.483 b=11.906 c=12.933 alpha=90.00 beta=90.00 gamma=90.00
Space group Amm2 (No. 38)
Inequivalent atoms, fractional coordinates:
Ac (0.000, 0.000, 0.000) x2
Ac (0.252, 0.000, 0.743) x4
Sm (0.000, 0.000, 0.491) x2
Sm (0.000, 0.248, 0.165) x4
Sm (0.251, 0.000, 0.249) x4
Sm (0.253, 0.245, 0.414) x8
Sm (0.500, 0.000, 0.000) x2
Sm (0.500, 0.000, 0.492) x2
Sm (0.500, 0.243, 0.162) x4


3.
# KTcAs
Calculated powder X-ray diffraction pattern, Cu Kα (weighted mean of Kα1 and Kα2). Input: a structure optimized by DFT (PBE).
No peak broadening, texture or thermal motion is included.

Principal peaks in the range 2θ from 15° to 90°, by angle:
5.505 Å, I = 21, (0 0 2)
3.218 Å, I = 90, (1 0 2)
2.718 Å, I = 24, (1 1 1)
2.694 Å, I = 20, (1 0 3)
2.499 Å, I = 100, (1 1 2)
2.229 Å, I = 61, (1 1 3)
1.984 Å, I = 53, (2 0 0)
1.965 Å, I = 55, (1 1 4)
1.952 Å, I = 40, (2 0 1)
1.732 Å, I = 37, (1 1 5)
1.689 Å, I = 25, (2 1 2)
1.232 Å, I = 20, (2 0 7)

Atomic structure:
Unit cell a=3.967 b=3.967 c=11.009 alpha=90.00 beta=90.00 gamma=90.00
Space group P4/nmm (No. 129, origin choice 2)
Inequivalent atoms, fractional coordinates:
K (0.250, 0.250, 0.201) x2
Tc (0.250, 0.750, 0.500) x2
As (0.250, 0.250, 0.641) x2


4.
# MgZnCd2Ag
Calculated powder X-ray diffraction pattern, Cu Kα (weighted mean of Kα1 and Kα2). Input: a structure optimized by DFT (PBE).
No peak broadening, texture or thermal motion is included.

Principal peaks in the range 2θ from 15° to 90°, by angle:
3.070 Å, I = 53, (1 1 0)
2.836 Å, I = 74, (0 2 3)
2.782 Å, I = 17, (0 4 2)
2.602 Å, I = 65, (1 3 0)
2.313 Å, I = 100, (0 6 0)
2.184 Å, I = 94, (1 1 3)
2.081 Å, I = 33, (1 5 0)
1.900 Å, I = 17, (1 5 2)
1.729 Å, I = 18, (1 5 3)
1.476 Å, I = 23, (1 7 3)
1.334 Å, I = 32, (1 3 6)
1.301 Å, I = 29, (2 6 0)

Atomic structure:
Unit cell a=3.149 b=13.865 c=9.325 alpha=90.00 beta=90.00 gamma=90.00
Space group Cmcm (No. 63)
Inequivalent atoms, fractional coordinates:
Mg (0.000, 0.021, 0.250) x4
Zn (0.000, 0.500, 0.000) x4
Cd (0.000, 0.314, 0.592) x8
Ag (0.000, 0.346, 0.250) x4